K3U2S5Cl2: computed XRD peak list (Cu Kα (λ = 1.5418 Å)), based on DFT lattice parameters and positions (PBE).

Principal peaks in the range 10 to 90 degrees two-theta, in order of falling intensity:
Position (°2θ)  d_spacing  I/Imax  index
17.27  5.135  100  1 0 1
23.90  3.724  78  1 0 5
24.05  3.701  58  1 1 0
13.37  6.625  52  0 0 4
34.27  2.617  52  2 0 0
42.21  2.141  37  2 1 5

Cell and atoms:
a b c (Å): 5.2339 5.2339 26.4982
angles (deg): 90.00 90.00 90.00
Space group I4/mmm (No. 139)
Inequivalent atoms, fractional coordinates:
K: 0.0000 0.0000 0.0000 [2 per cell]
K: 0.0000 0.0000 0.1796 [4 per cell]
U: 0.0000 0.0000 0.4022 [4 per cell]
S: 0.0000 0.0000 0.5000 [2 per cell]
S: 0.0000 0.5000 0.0998 [8 per cell]
Cl: 0.0000 0.0000 0.2989 [4 per cell]